Dy4CBr2Cl3: calculated powder diffractogram (Cu Kα), based on a crystal structure in OQMD, relaxed with GGA-PBE.
Peak positions follow from Bragg's law for the DFT cell and can differ from measured ones.

Most intense lines, 2θ = 10–90°, in order of falling intensity:
2θ = 33.0°, intensity 1000; 2θ = 11.6°, intensity 618; 2θ = 32.0°, intensity 451; 2θ = 32.3°, intensity 340; 2θ = 10.6°, intensity 282; 2θ = 46.5°, intensity 280; 2θ = 46.9°, intensity 277; 2θ = 35.9°, intensity 267; 2θ = 13.9°, intensity 226; 2θ = 29.6°, intensity 215

a = 8.786 Å, b = 8.786 Å, c = 7.846 Å
α = 102.23°, β = 102.23°, γ = 24.65°
Positions (direct):
Dy (0.002, 0.002, 0.291)
Dy (0.357, 0.357, 0.426)
Dy (0.643, 0.643, 0.574)
Dy (0.998, 0.998, 0.709)
C (0.500, 0.500, 0.500)
Br (0.167, 0.167, 0.851)
Br (0.833, 0.833, 0.149)
Cl (0.171, 0.171, 0.337)
Cl (0.500, 0.500, 0.000)
Cl (0.829, 0.829, 0.663)

Na3Zr2O6: calculated powder diffractogram (Cu Kα), based on a crystal structure in OQMD, relaxed with GGA-PBE.
Peak positions follow from Bragg's law for the DFT cell and can differ from measured ones.

Most intense lines, 2θ = 10–90°, in order of falling intensity:
2θ = 16.4°, intensity 1000; 2θ = 39.2°, intensity 715; 2θ = 37.9°, intensity 389; 2θ = 33.5°, intensity 380; 2θ = 18.9°, intensity 344; 2θ = 32.3°, intensity 255; 2θ = 55.9°, intensity 216; 2θ = 55.5°, intensity 212; 2θ = 24.7°, intensity 206; 2θ = 20.8°, intensity 150

a = 5.637 Å, b = 5.637 Å, c = 5.779 Å
α = 100.55°, β = 100.55°, γ = 118.82°
Positions (direct):
Na (0.000, 0.000, 0.000)
Na (0.500, 0.500, 0.500)
Na (0.849, 0.151, 0.500)
Zr (0.324, 0.676, 0.000)
Zr (0.662, 0.338, 0.000)
O (0.071, 0.437, 0.204)
O (0.296, 0.311, 0.785)
O (0.449, 0.088, 0.210)
O (0.563, 0.929, 0.796)
O (0.689, 0.704, 0.215)
O (0.912, 0.551, 0.790)

Cu4Ag: calculated powder diffractogram (Cu Kα), based on a crystal structure in OQMD, relaxed with GGA-PBE.
Peak positions follow from Bragg's law for the DFT cell and can differ from measured ones.

Most intense lines, 2θ = 10–90°, in order of falling intensity:
2θ = 41.8°, intensity 1000; 2θ = 41.9°, intensity 974; 2θ = 48.1°, intensity 314; 2θ = 48.6°, intensity 310; 2θ = 49.5°, intensity 300; 2θ = 87.5°, intensity 208; 2θ = 71.9°, intensity 186; 2θ = 71.5°, intensity 176; 2θ = 86.0°, intensity 106; 2θ = 85.3°, intensity 104

a = 7.009 Å, b = 7.009 Å, c = 5.334 Å
α = 100.43°, β = 100.43°, γ = 30.45°
Positions (direct):
Cu (0.004, 0.004, 0.253)
Cu (0.196, 0.196, 0.351)
Cu (0.405, 0.405, 0.464)
Cu (0.407, 0.407, 0.946)
Cu (0.593, 0.593, 0.054)
Cu (0.595, 0.595, 0.536)
Cu (0.804, 0.804, 0.649)
Cu (0.996, 0.996, 0.747)
Ag (0.195, 0.195, 0.839)
Ag (0.805, 0.805, 0.161)